Simulated powder diffractogram
Compound: Ti2AlFe
Radiation: copper Kα
Structure: a crystal structure in the Materials Project, relaxed with GGA-PBE
Lines closer than 0.1° are merged.

Main lines, sorted by position (5° ≤ 2θ ≤ 70°):
two_theta, I_rel
25.18, 4.6
29.16, 4.4
41.71, 100.0
49.35, 1.9
51.70, 1.0
60.46, 15.2
66.54, 0.7
68.51, 1.1

```
4
Lattice="0.000 3.063 3.063 3.063 0.000 3.063 3.063 3.063 0.000" Properties=species:S:1:pos:R:3 pbc="T T T"
Ti 0.000 0.000 0.000
Ti 1.531 1.531 1.531
Al 3.063 3.063 3.063
Fe 4.594 4.594 4.594
```